For Ba2Sr5Ca4, a cell relaxed with GGA-PBE gives the simulated X-ray powder pattern in this record (λ = 1.5418 Å (Cu Kα)).
Lines closer than 0.1° are merged.

Crystal structure
```
Ba2Sr5Ca4
1.0
10.960 -3.336 0.000
10.960 3.336 0.000
-0.146 0.000 7.632
Ba Sr Ca
2 5 4
direct
0.092 0.092 0.039
0.908 0.908 0.961
0.000 0.000 0.500
0.277 0.277 0.146
0.363 0.363 0.668
0.637 0.637 0.332
0.723 0.723 0.854
0.183 0.183 0.587
0.458 0.458 0.224
0.542 0.542 0.776
0.817 0.817 0.413
```

The 10 most intense peaks (10° ≤ 2θ ≤ 90°), sorted by position:
2θ/deg  Rel. int.
26.72  26
26.85  28
27.16  100
38.25  20
39.33  10
47.46  21
47.63  21
48.23  19
56.02  12
62.59  9